Sm2Ga7Ag: calculated XRD peak list (a wavelength of 1.5418 Å), based on a DFT-relaxed cell (GGA-PBE, Alexandria).

Structural model:
```
Sm2Ga7Ag
1.0
4.2613 0.0000 0.0000
0.0000 4.2613 0.0000
0.0000 0.0000 10.9952
Sm Ga Ag
2 7 1
direct
0.0000 0.5000 0.2500
0.5000 0.0000 0.7500
0.0000 0.0000 0.0000
0.0000 0.0000 0.5000
0.0000 0.5000 0.6384
0.0000 0.5000 0.8610
0.5000 0.0000 0.1390
0.5000 0.0000 0.3616
0.5000 0.5000 0.5000
0.5000 0.5000 0.0000
```

Principal peaks in the range 5 to 70 degrees two-theta, by angle:
d [Å]  intensity  index
2.779  50  1 0 3
2.642  100  1 1 2
2.131  49  2 0 0
1.954  29  1 0 5
1.691  22  2 1 3
1.440  21  2 1 5